No. 1
Diffraction record for Er5Tm2Th2. The XRD peak list is computed, not measured: it uses a structure optimized by DFT (GGA-PBE) and Cu Kα (λ = 1.5418 Å).

Crystal structure
```
Er5Tm2Th2
1.0
3.5252 0.0000 0.0000
0.0436 8.3365 0.0000
1.7212 2.2804 9.6947
Er Tm Th
5 2 2
Cartesian
0.0000 0.0000 0.0000
1.7684 6.6917 5.5090
1.7355 2.8113 1.3110
3.5546 7.8056 8.3837
3.5216 3.9252 4.1857
1.7877 6.2076 2.0875
3.5024 4.4094 7.6072
1.7455 1.7355 6.2659
3.5446 8.8815 3.4288
```

Principal peaks in the range 10° ≤ 2θ ≤ 90°, sorted by position:
- 28.3°, d = 3.152 Å, rel. 21
- 28.5°, d = 3.134 Å, rel. 24
- 31.2°, d = 2.868 Å, rel. 81
- 32.1°, d = 2.791 Å, rel. 60
- 33.2°, d = 2.702 Å, rel. 100
- 33.4°, d = 2.684 Å, rel. 42
- 34.3°, d = 2.616 Å, rel. 42
- 34.5°, d = 2.602 Å, rel. 47
- 51.9°, d = 1.763 Å, rel. 20
- 62.1°, d = 1.495 Å, rel. 20

No. 2
Diffraction record for Er4Tm7Th. The XRD peak list is computed, not measured: it uses a structure optimized by DFT (GGA-PBE) and Cu Kα (λ = 1.5418 Å).

Crystal structure
```
Er4Tm7Th
1.0
6.6566 0.0000 0.0000
1.5908 6.6911 0.0000
1.9288 1.1512 8.2648
Er Tm Th
4 7 1
Cartesian
2.0776 2.1689 2.6184
4.7972 6.7361 5.5045
5.3790 1.1062 2.7603
8.0986 5.6734 5.6464
2.4147 2.7933 8.0582
3.0383 5.4990 2.7071
3.9804 3.3648 5.2370
3.3283 0.0000 0.0000
6.1958 4.4774 3.0278
7.1379 2.3433 5.5577
7.7615 5.0489 0.2066
4.1237 3.3456 0.0000
```

Principal peaks in the range 10° ≤ 2θ ≤ 90°, sorted by position:
- 31.1°, d = 2.877 Å, rel. 26
- 32.1°, d = 2.790 Å, rel. 100
- 32.2°, d = 2.779 Å, rel. 7
- 32.5°, d = 2.755 Å, rel. 32
- 32.9°, d = 2.725 Å, rel. 28
- 44.4°, d = 2.041 Å, rel. 10
- 46.1°, d = 1.969 Å, rel. 8
- 47.7°, d = 1.908 Å, rel. 11
- 56.9°, d = 1.619 Å, rel. 8
- 57.7°, d = 1.598 Å, rel. 11

No. 3
Diffraction record for ErTm14Th. The XRD peak list is computed, not measured: it uses a structure optimized by DFT (GGA-PBE) and Cu Kα (λ = 1.5418 Å).

Crystal structure
```
ErTm14Th
1.0
11.3090 0.0000 0.0000
0.0000 3.5163 6.0884
0.0000 -3.5163 6.0884
Er Tm Th
1 14 1
Cartesian
0.0000 0.0000 0.0000
0.0000 1.7568 9.1331
0.0000 -1.7568 9.1331
2.8424 0.0000 2.0316
2.8398 0.0000 8.1006
2.8442 -1.7442 5.0818
2.8442 1.7442 5.0818
5.6545 0.0000 4.0539
5.6545 -1.7619 7.1046
5.6545 0.0000 10.1460
5.6545 1.7619 7.1046
8.4648 -1.7442 5.0818
8.4648 1.7442 5.0818
8.4666 0.0000 2.0316
8.4691 0.0000 8.1006
0.0000 0.0000 6.0841
```

Principal peaks in the range 10° ≤ 2θ ≤ 90°, sorted by position:
- 30.4°, d = 2.940 Å, rel. 45
- 31.6°, d = 2.827 Å, rel. 35
- 33.4°, d = 2.681 Å, rel. 100
- 38.0°, d = 2.369 Å, rel. 25
- 52.0°, d = 1.758 Å, rel. 26
- 57.5°, d = 1.603 Å, rel. 21
- 62.2°, d = 1.493 Å, rel. 31
- 63.3°, d = 1.470 Å, rel. 16
- 86.3°, d = 1.128 Å, rel. 14
- 88.8°, d = 1.102 Å, rel. 14

No. 4
Diffraction record for Er2Tm5Th5. The XRD peak list is computed, not measured: it uses a structure optimized by DFT (GGA-PBE) and Cu Kα (λ = 1.5418 Å).

Crystal structure
```
Er2Tm5Th5
1.0
7.4703 -2.4973 0.0000
7.4703 2.4973 0.0000
-4.9856 0.0000 10.0422
Er Tm Th
2 5 5
Cartesian
-0.0128 0.0000 2.5223
9.9677 0.0000 7.5198
2.4841 0.0000 4.9825
4.9631 0.0000 2.5290
7.4703 0.0000 0.0000
4.9919 0.0000 7.5131
7.4709 0.0000 5.0596
-2.4928 0.0000 5.0211
2.5034 0.0000 0.0284
-0.0145 0.0000 7.5552
9.9694 0.0000 2.4869
7.4515 0.0000 10.0138
```

Principal peaks in the range 10° ≤ 2θ ≤ 90°, sorted by position:
- 31.0°, d = 2.886 Å, rel. 100
- 35.8°, d = 2.511 Å, rel. 17
- 36.0°, d = 2.497 Å, rel. 17
- 36.1°, d = 2.490 Å, rel. 17
- 51.7°, d = 1.769 Å, rel. 24
- 51.9°, d = 1.763 Å, rel. 12
- 61.3°, d = 1.512 Å, rel. 15
- 61.6°, d = 1.506 Å, rel. 15
- 61.7°, d = 1.503 Å, rel. 14
- 64.6°, d = 1.443 Å, rel. 13

No. 5
Diffraction record for Er4Tm8Th. The XRD peak list is computed, not measured: it uses a structure optimized by DFT (GGA-PBE) and Cu Kα (λ = 1.5418 Å).

Crystal structure
```
Er4Tm8Th
1.0
3.3786 1.9506 10.5876
-3.3786 1.9506 10.5876
0.0000 -3.9012 10.5876
Er Tm Th
4 8 1
Cartesian
0.0000 0.0000 0.0000
-1.6893 -0.9753 10.5876
-1.6893 0.9753 21.1752
0.0000 1.9506 10.5876
0.0000 0.0000 6.3389
-1.7174 -0.9916 18.3959
0.0000 -1.9831 13.3668
-1.7174 0.9916 13.3668
1.7174 -0.9916 18.3960
0.0000 1.9831 18.3960
1.7174 0.9916 13.3668
0.0000 0.0000 25.4239
0.0000 0.0000 15.8814
```

Principal peaks in the range 10° ≤ 2θ ≤ 90°, sorted by position:
- 27.7°, d = 3.219 Å, rel. 17
- 31.4°, d = 2.848 Å, rel. 25
- 32.1°, d = 2.792 Å, rel. 21
- 32.6°, d = 2.745 Å, rel. 100
- 33.7°, d = 2.658 Å, rel. 19
- 33.9°, d = 2.647 Å, rel. 19
- 38.2°, d = 2.355 Å, rel. 42
- 54.3°, d = 1.689 Å, rel. 30
- 56.0°, d = 1.643 Å, rel. 20
- 65.6°, d = 1.424 Å, rel. 17

No. 6
Diffraction record for Er12Tm7Th. The XRD peak list is computed, not measured: it uses a structure optimized by DFT (GGA-PBE) and Cu Kα (λ = 1.5418 Å).

Crystal structure
```
Er12Tm7Th
1.0
6.0323 3.4828 5.0367
-6.0323 3.4828 5.0367
0.0000 -6.9656 5.0367
Er Tm Th
12 7 1
Cartesian
-3.8869 1.4307 3.8604
0.7044 -4.0815 3.8604
-2.5161 -2.3170 8.1193
-3.2646 1.0205 6.9908
-3.1825 -2.6508 11.2497
0.7485 -3.3375 6.9908
-0.7485 3.3375 8.1193
3.1825 2.6508 3.8604
3.2646 -1.0205 8.1193
2.5161 2.3170 6.9908
-0.7044 4.0815 11.2498
3.8869 -1.4307 11.2498
0.0000 0.0000 0.0000
-1.3652 -1.5194 4.6181
-0.6333 1.9419 4.6181
1.9984 -0.4226 4.6181
-1.9984 0.4226 10.4920
0.6333 -1.9419 10.4920
1.3651 1.5194 10.4920
0.0000 0.0000 7.5551
```

Principal peaks in the range 10° ≤ 2θ ≤ 90°, sorted by position:
- 30.8°, d = 2.903 Å, rel. 31
- 31.2°, d = 2.865 Å, rel. 25
- 31.4°, d = 2.846 Å, rel. 100
- 32.8°, d = 2.730 Å, rel. 57
- 33.1°, d = 2.706 Å, rel. 56
- 34.3°, d = 2.616 Å, rel. 28
- 34.7°, d = 2.588 Å, rel. 14
- 53.8°, d = 1.704 Å, rel. 14
- 54.3°, d = 1.690 Å, rel. 18
- 54.9°, d = 1.674 Å, rel. 26